Entry 1:
Starting from the GGA-PBE geometry in Alexandria, the XRD peak list of SmAl2Cu2Pd was calculated for Cu Kα, 1.54184 Å.

Main lines, sorted by position (2θ = 5–70°):
2θ = 19.11°, rel. 26.3
2θ = 27.15°, rel. 92.1
2θ = 31.64°, rel. 14.3
2θ = 37.70°, rel. 100.0
2θ = 38.78°, rel. 61.5
2θ = 51.25°, rel. 8.9
2θ = 55.19°, rel. 64.5
2θ = 56.00°, rel. 20.5
2θ = 63.32°, rel. 16.1
2θ = 69.49°, rel. 15.7

Atomic structure:
Cell: 4.644 4.644 5.562 Å, 90.00 90.00 90.00°
Element x y z (fractional)
Sm1 0.000 0.000 0.000
Al1 0.000 0.500 0.500
Al2 0.500 0.000 0.500
Cu1 0.500 0.500 0.226
Cu2 0.500 0.500 0.774
Pd1 0.000 0.000 0.500

***

Entry 2:
Starting from the GGA-PBE geometry in Alexandria, the XRD peak list of Tb2Al4Cu3Pd was calculated for Cu Kα, 1.54184 Å.

Main lines, sorted by position (2θ = 5–70°):
2θ = 23.09°, rel. 27.4
2θ = 30.44°, rel. 17.3
2θ = 31.68°, rel. 14.0
2θ = 33.85°, rel. 63.5
2θ = 35.17°, rel. 100.0
2θ = 43.59°, rel. 46.3
2θ = 49.32°, rel. 27.5
2θ = 56.30°, rel. 29.2
2θ = 63.34°, rel. 14.8
2θ = 67.91°, rel. 20.6

Atomic structure:
Cell: 4.153 4.153 10.314 Å, 90.00 90.00 90.00°
Element x y z (fractional)
Tb1 0.000 0.500 0.248
Tb2 0.500 0.000 0.752
Al1 0.000 0.000 0.000
Al2 0.000 0.500 0.632
Al3 0.500 0.000 0.368
Al4 0.500 0.500 0.000
Cu1 0.000 0.500 0.866
Cu2 0.500 0.000 0.134
Cu3 0.500 0.500 0.500
Pd1 0.000 0.000 0.500

***

Entry 3:
Starting from the GGA-PBE geometry in Alexandria, the XRD peak list of TbAlCuPd was calculated for Cu Kα, 1.54184 Å.

Main lines, sorted by position (2θ = 5–70°):
2θ = 24.41°, rel. 95.9
2θ = 35.55°, rel. 94.5
2θ = 39.90°, rel. 8.2
2θ = 40.94°, rel. 69.5
2θ = 41.30°, rel. 100.0
2θ = 48.55°, rel. 15.2
2θ = 55.60°, rel. 25.7
2θ = 58.77°, rel. 15.9
2θ = 59.56°, rel. 22.6
2θ = 65.59°, rel. 12.3

Atomic structure:
Cell: 4.372 4.372 13.556 Å, 90.00 90.00 120.00°
Element x y z (fractional)
Tb1 0.000 0.000 0.000
Tb2 0.333 0.667 0.667
Tb3 0.667 0.333 0.333
Al1 0.000 0.000 0.501
Al2 0.333 0.667 0.168
Al3 0.667 0.333 0.835
Cu1 0.000 0.000 0.790
Cu2 0.333 0.667 0.457
Cu3 0.667 0.333 0.124
Pd1 0.000 0.000 0.212
Pd2 0.333 0.667 0.879
Pd3 0.667 0.333 0.545

***

Entry 4:
Starting from the GGA-PBE geometry in Alexandria, the XRD peak list of Ti2Al5CuPd2 was calculated for Cu Kα, 1.54184 Å.

Main lines, sorted by position (2θ = 5–70°):
2θ = 19.67°, rel. 46.4
2θ = 27.95°, rel. 48.8
2θ = 28.69°, rel. 23.5
2θ = 37.82°, rel. 26.3
2θ = 38.38°, rel. 17.0
2θ = 40.49°, rel. 100.0
2θ = 43.49°, rel. 28.4
2θ = 46.33°, rel. 22.4
2θ = 51.20°, rel. 15.3
2θ = 63.54°, rel. 15.1

Atomic structure:
Cell: 10.093 10.093 3.112 Å, 90.00 90.00 90.00°
Element x y z (fractional)
Ti1 0.177 0.323 0.000
Ti2 0.323 0.823 0.000
Ti3 0.677 0.177 0.000
Ti4 0.823 0.677 0.000
Al1 0.000 0.500 0.500
Al2 0.038 0.804 0.500
Al3 0.196 0.038 0.500
Al4 0.304 0.538 0.500
Al5 0.462 0.304 0.500
Al6 0.500 0.000 0.500
Al7 0.538 0.696 0.500
Al8 0.696 0.462 0.500
Al9 0.804 0.962 0.500
Al10 0.962 0.196 0.500
Cu1 0.000 0.000 0.000
Cu2 0.500 0.500 0.000
Pd1 0.135 0.635 0.000
Pd2 0.365 0.135 0.000
Pd3 0.635 0.865 0.000
Pd4 0.865 0.365 0.000

***

Entry 5:
Starting from the GGA-PBE geometry in Alexandria, the XRD peak list of ZrAl3CuPd was calculated for Cu Kα, 1.54184 Å.

Main lines, sorted by position (2θ = 5–70°):
2θ = 21.26°, rel. 41.1
2θ = 26.70°, rel. 58.3
2θ = 30.97°, rel. 75.0
2θ = 31.36°, rel. 66.5
2θ = 34.32°, rel. 31.4
2θ = 34.68°, rel. 32.0
2θ = 41.65°, rel. 45.6
2θ = 43.04°, rel. 69.3
2θ = 43.31°, rel. 35.5
2θ = 44.65°, rel. 100.0

Atomic structure:
Cell: 6.783 6.783 5.705 Å, 90.00 90.00 129.60°
Element x y z (fractional)
Zr1 0.196 0.804 0.750
Zr2 0.804 0.196 0.250
Al1 0.222 0.222 0.000
Al2 0.222 0.222 0.500
Al3 0.352 0.648 0.250
Al4 0.648 0.352 0.750
Al5 0.778 0.778 0.000
Al6 0.778 0.778 0.500
Cu1 0.406 0.594 0.750
Cu2 0.594 0.406 0.250
Pd1 0.147 0.853 0.250
Pd2 0.853 0.147 0.750

***

Entry 6:
Starting from the GGA-PBE geometry in Alexandria, the XRD peak list of Pm2Al2Cu3 was calculated for Cu Kα, 1.54184 Å.

Main lines, sorted by position (2θ = 5–70°):
2θ = 24.53°, rel. 14.3
2θ = 29.50°, rel. 81.7
2θ = 33.92°, rel. 49.2
2θ = 37.12°, rel. 100.0
2θ = 38.09°, rel. 43.2
2θ = 40.29°, rel. 41.8
2θ = 50.37°, rel. 15.5
2θ = 51.92°, rel. 29.9
2θ = 52.96°, rel. 20.0
2θ = 68.20°, rel. 16.1

Atomic structure:
Cell: 8.660 4.725 7.925 Å, 90.00 122.91 90.00°
Element x y z (fractional)
Pm1 0.077 0.000 0.322
Pm2 0.423 0.500 0.678
Pm3 0.577 0.500 0.322
Pm4 0.923 0.000 0.678
Al1 0.197 0.500 0.878
Al2 0.303 0.000 0.122
Al3 0.697 0.000 0.878
Al4 0.803 0.500 0.122
Cu1 0.000 0.500 0.500
Cu2 0.160 0.500 0.166
Cu3 0.340 0.000 0.834
Cu4 0.500 0.000 0.500
Cu5 0.660 0.000 0.166
Cu6 0.840 0.500 0.834

***

Entry 7:
Starting from the GGA-PBE geometry in Alexandria, the XRD peak list of Pm3Al3Cu8 was calculated for Cu Kα, 1.54184 Å.

Main lines, sorted by position (2θ = 5–70°):
2θ = 23.14°, rel. 29.0
2θ = 29.63°, rel. 33.0
2θ = 34.58°, rel. 39.6
2θ = 36.01°, rel. 72.9
2θ = 36.56°, rel. 39.9
2θ = 36.97°, rel. 100.0
2θ = 41.16°, rel. 18.2
2θ = 42.39°, rel. 55.8
2θ = 55.80°, rel. 19.3
2θ = 57.49°, rel. 24.2

Atomic structure:
Cell: 8.070 8.070 8.070 Å, 149.35 113.23 75.24°
Element x y z (fractional)
Pm1 0.000 0.000 0.000
Pm2 0.294 0.294 0.000
Pm3 0.706 0.706 0.000
Al1 0.296 0.500 0.796
Al2 0.500 0.000 0.500
Al3 0.704 0.500 0.204
Cu1 0.020 0.666 0.354
Cu2 0.157 0.871 0.286
Cu3 0.312 0.666 0.646
Cu4 0.415 0.129 0.286
Cu5 0.585 0.871 0.714
Cu6 0.688 0.334 0.354
Cu7 0.843 0.129 0.714
Cu8 0.980 0.334 0.646

***

Entry 8:
Starting from the GGA-PBE geometry in Alexandria, the XRD peak list of Pm3Al8Cu3 was calculated for Cu Kα, 1.54184 Å.

Main lines, sorted by position (2θ = 5–70°):
2θ = 18.02°, rel. 22.3
2θ = 22.31°, rel. 35.3
2θ = 23.32°, rel. 21.3
2θ = 29.77°, rel. 26.6
2θ = 34.19°, rel. 30.9
2θ = 34.89°, rel. 28.2
2θ = 35.02°, rel. 100.0
2θ = 36.50°, rel. 15.9
2θ = 41.43°, rel. 27.8
2θ = 55.25°, rel. 15.0

Atomic structure:
Cell: 8.217 8.217 8.217 Å, 149.24 106.39 81.87°
Element x y z (fractional)
Pm1 0.000 0.000 0.000
Pm2 0.309 0.309 0.000
Pm3 0.691 0.691 0.000
Al1 0.023 0.661 0.363
Al2 0.168 0.880 0.287
Al3 0.298 0.661 0.637
Al4 0.407 0.120 0.287
Al5 0.593 0.880 0.713
Al6 0.702 0.339 0.363
Al7 0.832 0.120 0.713
Al8 0.977 0.339 0.637
Cu1 0.290 0.500 0.790
Cu2 0.500 0.000 0.500
Cu3 0.710 0.500 0.210

***

Entry 9:
Starting from the GGA-PBE geometry in Alexandria, the XRD peak list of PmAl3Cu3 was calculated for Cu Kα, 1.54184 Å.

Main lines, sorted by position (2θ = 5–70°):
2θ = 16.19°, rel. 27.9
2θ = 25.25°, rel. 27.3
2θ = 29.75°, rel. 45.3
2θ = 30.15°, rel. 39.5
2θ = 36.67°, rel. 100.0
2θ = 39.41°, rel. 43.2
2θ = 40.33°, rel. 33.7
2θ = 41.23°, rel. 35.7
2θ = 47.65°, rel. 38.2
2θ = 58.98°, rel. 25.8

Atomic structure:
Cell: 6.822 6.822 6.822 Å, 62.26 62.26 62.26°
Element x y z (fractional)
Pm1 0.130 0.130 0.130
Pm2 0.870 0.870 0.870
Al1 0.181 0.181 0.564
Al2 0.181 0.564 0.181
Al3 0.436 0.819 0.819
Al4 0.564 0.181 0.181
Al5 0.819 0.436 0.819
Al6 0.819 0.819 0.436
Cu1 0.191 0.560 0.560
Cu2 0.440 0.440 0.809
Cu3 0.440 0.809 0.440
Cu4 0.560 0.191 0.560
Cu5 0.560 0.560 0.191
Cu6 0.809 0.440 0.440

***

Entry 10:
Starting from the GGA-PBE geometry in Alexandria, the XRD peak list of Pm2Al3Cu was calculated for Cu Kα, 1.54184 Å.

Main lines, sorted by position (2θ = 5–70°):
2θ = 22.72°, rel. 62.4
2θ = 23.35°, rel. 21.5
2θ = 23.89°, rel. 21.9
2θ = 32.72°, rel. 28.4
2θ = 33.04°, rel. 77.1
2θ = 33.36°, rel. 100.0
2θ = 34.01°, rel. 20.5
2θ = 39.51°, rel. 33.8
2θ = 40.66°, rel. 37.5
2θ = 54.33°, rel. 16.1

Atomic structure:
Cell: 10.547 4.562 7.451 Å, 90.00 133.75 90.00°
Element x y z (fractional)
Pm1 0.000 0.000 0.000
Pm2 0.089 0.000 0.590
Pm3 0.500 0.500 0.000
Pm4 0.589 0.500 0.590
Al1 0.193 0.500 0.989
Al2 0.213 0.500 0.402
Al3 0.380 0.000 0.192
Al4 0.693 0.000 0.989
Al5 0.713 0.000 0.402
Al6 0.880 0.500 0.192
Cu1 0.374 0.000 0.561
Cu2 0.874 0.500 0.561

***

Entry 11:
Starting from the GGA-PBE geometry in Alexandria, the XRD peak list of PmAl2Cu3 was calculated for Cu Kα, 1.54184 Å.

Main lines, sorted by position (2θ = 5–70°):
2θ = 19.25°, rel. 9.3
2θ = 29.41°, rel. 100.0
2θ = 33.67°, rel. 16.9
2θ = 39.07°, rel. 69.9
2θ = 40.60°, rel. 85.0
2θ = 44.91°, rel. 24.1
2θ = 57.28°, rel. 7.6
2θ = 57.61°, rel. 29.3
2θ = 61.02°, rel. 35.8
2θ = 64.92°, rel. 20.6

Atomic structure:
Cell: 5.324 5.324 4.037 Å, 90.00 90.00 120.00°
Element x y z (fractional)
Pm1 0.000 0.000 0.000
Al1 0.333 0.667 0.000
Al2 0.667 0.333 0.000
Cu1 0.000 0.500 0.500
Cu2 0.500 0.000 0.500
Cu3 0.500 0.500 0.500

***

Entry 12:
Starting from the GGA-PBE geometry in Alexandria, the XRD peak list of Pm3Al2Cu7 was calculated for Cu Kα, 1.54184 Å.

Main lines, sorted by position (2θ = 5–70°):
2θ = 31.62°, rel. 63.3
2θ = 33.56°, rel. 43.6
2θ = 34.61°, rel. 47.7
2θ = 39.12°, rel. 56.8
2θ = 39.64°, rel. 18.2
2θ = 40.09°, rel. 100.0
2θ = 58.80°, rel. 21.1
2θ = 60.68°, rel. 18.8
2θ = 64.43°, rel. 23.7
2θ = 66.03°, rel. 25.0

Atomic structure:
Cell: 8.897 8.897 8.897 Å, 34.93 34.93 34.93°
Element x y z (fractional)
Pm1 0.000 0.000 0.000
Pm2 0.142 0.142 0.142
Pm3 0.858 0.858 0.858
Al1 0.333 0.333 0.333
Al2 0.667 0.667 0.667
Cu1 0.083 0.580 0.580
Cu2 0.420 0.420 0.917
Cu3 0.420 0.917 0.420
Cu4 0.500 0.500 0.500
Cu5 0.580 0.083 0.580
Cu6 0.580 0.580 0.083
Cu7 0.917 0.420 0.420

***

Entry 13:
Starting from the GGA-PBE geometry in Alexandria, the XRD peak list of Pm2AlCu5 was calculated for Cu Kα, 1.54184 Å.

Main lines, sorted by position (2θ = 5–70°):
2θ = 13.19°, rel. 8.2
2θ = 30.92°, rel. 48.2
2θ = 38.85°, rel. 100.0
2θ = 39.77°, rel. 59.9
2θ = 40.30°, rel. 13.0
2θ = 57.51°, rel. 19.6
2θ = 57.91°, rel. 17.5
2θ = 62.46°, rel. 9.9
2θ = 66.73°, rel. 10.5
2θ = 69.72°, rel. 7.9

Atomic structure:
Cell: 4.533 4.533 13.427 Å, 90.00 90.00 90.00°
Element x y z (fractional)
Pm1 0.000 0.000 0.247
Pm2 0.000 0.000 0.753
Pm3 0.500 0.500 0.253
Pm4 0.500 0.500 0.747
Al1 0.000 0.000 0.500
Al2 0.500 0.500 0.000
Cu1 0.000 0.000 0.000
Cu2 0.000 0.500 0.095
Cu3 0.000 0.500 0.405
Cu4 0.000 0.500 0.595
Cu5 0.000 0.500 0.905
Cu6 0.500 0.000 0.095
Cu7 0.500 0.000 0.405
Cu8 0.500 0.000 0.595
Cu9 0.500 0.000 0.905
Cu10 0.500 0.500 0.500